Ac2CdSn5: theoretical powder diffraction line list (Cu Kα), based on a GGA-PBE-relaxed structure.

Principal peaks in the range 2θ = 15–90°, low angle first:
| d/Å | I/Imax |
| --- | --- |
| 2.838 | 100.0 |
| 2.477 | 17.4 |
| 2.460 | 17.1 |
| 2.437 | 15.9 |
| 1.746 | 12.2 |
| 1.737 | 11.5 |
| 1.491 | 14.3 |
| 1.483 | 14.2 |
| 1.473 | 12.7 |
| 1.419 | 11.8 |

Cell and atoms:
```
8
Lattice="0.0000 4.9543 4.8747 4.9201 0.0000 4.8747 4.9201 4.9543 0.0000" Properties=species:S:1:pos:R:3 pbc="T T T"
Ac 2.4601 2.4772 0.0000
Ac 2.4601 2.4772 4.8747
Cd 4.9201 4.9543 4.5929
Sn 7.2913 4.9543 7.3035
Sn 4.9201 2.5823 7.3030
Sn 4.9201 4.9543 9.5653
Sn 4.9201 7.3264 7.3030
Sn 2.5490 4.9543 7.3035
```